Record 1
Theoretical XRD peak list
Compound: Tb3Ge3Ir2
Radiation: Cu Ka
Structure: a GGA-PBE-relaxed structure

Peak list (6 most intense, 10 to 90 degrees two-theta, in order of falling intensity)
- 2θ = 33.59°, rel. 100.0, hkl 1 1 4
- 2θ = 33.45°, rel. 57.6, hkl 1 3 1
- 2θ = 38.00°, rel. 55.1, hkl 1 3 3
- 2θ = 41.83°, rel. 50.4, hkl 2 0 0
- 2θ = 41.62°, rel. 49.5, hkl 1 3 4
- 2θ = 39.02°, rel. 33.9, hkl 0 4 3

Lattice parameters (Å, degrees): 4.3189 10.5471 14.3318 90.00 90.00 90.00
Space group Cmcm (No. 63)
Symmetry-distinct sites (fractional):
Tb 0.0000 0.0833 0.1107 x8
Tb 0.0000 0.3599 0.2500 x4
Ge 0.0000 0.3423 0.7500 x4
Ge 0.0000 0.3767 0.0351 x8
Ir 0.0000 0.2008 0.6016 x8



Record 2
Theoretical XRD peak list
Compound: Zr2N2O
Radiation: Cu Ka
Structure: a GGA-PBE-relaxed structure

Peak list (6 most intense, 10 to 90 degrees two-theta, in order of falling intensity)
- 2θ = 30.21°, rel. 100.0, hkl 1 1 1
- 2θ = 35.02°, rel. 28.3, hkl -2 2 2
- 2θ = 50.33°, rel. 25.2, hkl 0 0 4
- 2θ = 59.81°, rel. 15.7, hkl -3 1 5
- 2θ = 21.24°, rel. 13.1, hkl 1 -2 1
- 2θ = 50.44°, rel. 12.3, hkl 4 0 -4

Lattice parameters (Å, degrees): 8.8614 8.8692 8.8866 109.58 109.42 109.31
Space group P1 (No. 1)
Symmetry-distinct sites (fractional):
Zr 0.0000 0.0000 0.0000 x1
Zr 0.0001 0.4883 0.4969 x1
Zr 0.0311 0.7017 0.2510 x1
Zr 0.2148 0.1779 0.4649 x1
Zr 0.2531 0.4524 0.2195 x1
Zr 0.2613 0.9615 0.7176 x1
Zr 0.2955 0.7474 0.9674 x1
Zr 0.4732 0.2192 0.1878 x1
Zr 0.4944 0.9299 0.4371 x1
Zr 0.5041 0.4267 0.9347 x1
Zr 0.5325 0.7052 0.7477 x1
Zr 0.7073 0.6691 0.4675 x1
Zr 0.7393 0.4617 0.7141 x1
Zr 0.7410 0.9620 0.2187 x1
Zr 0.7856 0.2540 0.9666 x1
Zr 0.9573 0.2110 0.6838 x1
N 0.0125 0.4550 0.2530 x1
N 0.0223 0.2174 0.9416 x1
N 0.2594 0.2297 0.2604 x1
N 0.2777 0.7233 0.7067 x1
N 0.2872 0.9679 0.4866 x1
N 0.4742 0.4255 0.6699 x1
N 0.4761 0.7032 0.4880 x1
N 0.4882 0.4726 0.1829 x1
N 0.5126 0.6912 0.9908 x1
N 0.5201 0.0010 0.2273 x1
N 0.5195 0.1806 0.9499 x1
N 0.7066 0.1878 0.6797 x1
N 0.7215 0.4184 0.4468 x1
N 0.7842 0.5090 0.9905 x1
N 0.7963 0.7359 0.7548 x1
N 0.9869 0.2304 0.4474 x1
O 0.0276 0.4943 0.7708 x1
O 0.2024 0.9503 0.9432 x1
O 0.2135 0.1968 0.7293 x1
O 0.2295 0.6858 0.1638 x1
O 0.7449 0.9993 0.9890 x1
O 0.7662 0.9246 0.4544 x1
O 0.9725 0.9134 0.2027 x1
O 0.9729 0.7398 0.4767 x1



Record 3
Theoretical XRD peak list
Compound: SnTe
Radiation: Cu Ka
Structure: a GGA-PBE-relaxed structure

Peak list (6 most intense, 10 to 90 degrees two-theta, in order of falling intensity)
- 2θ = 21.31°, rel. 100.0, hkl 1 1 1
- 2θ = 35.14°, rel. 84.5, hkl 2 2 0
- 2θ = 41.47°, rel. 53.6, hkl 3 1 1
- 2θ = 63.06°, rel. 31.4, hkl 4 2 2
- 2θ = 55.46°, rel. 23.0, hkl 3 3 1
- 2θ = 67.37°, rel. 17.3, hkl 5 1 1

Lattice parameters (Å, degrees): 7.2223 7.2223 7.2223 90.00 90.00 90.00
Space group F-43m (No. 216)
Symmetry-distinct sites (fractional):
Sn 0.0000 0.0000 0.0000 x4
Te 0.2500 0.2500 0.7500 x4



Record 4
Theoretical XRD peak list
Compound: LiTbGe
Radiation: Cu Ka
Structure: a GGA-PBE-relaxed structure

Peak list (6 most intense, 10 to 90 degrees two-theta, in order of falling intensity)
- 2θ = 35.96°, rel. 100.0, hkl 2 0 1
- 2θ = 32.76°, rel. 83.7, hkl 1 1 1
- 2θ = 20.69°, rel. 41.3, hkl 0 0 1
- 2θ = 25.12°, rel. 40.4, hkl 1 1 0
- 2θ = 29.08°, rel. 39.1, hkl 2 0 0
- 2θ = 58.28°, rel. 31.2, hkl 3 1 1

Lattice parameters (Å, degrees): 7.0904 7.0904 4.2932 90.00 90.00 120.00
Space group P-62m (No. 189)
Symmetry-distinct sites (fractional):
Li 0.0000 0.2347 0.0000 x3
Tb 0.0000 0.5790 0.5000 x3
Ge 0.0000 0.0000 0.5000 x1
Ge 0.3333 0.6667 0.0000 x2



Record 5
Theoretical XRD peak list
Compound: LuBO3
Radiation: Cu Ka
Structure: a GGA-PBE-relaxed structure

Peak list (6 most intense, 10 to 90 degrees two-theta, in order of falling intensity)
- 2θ = 23.57°, rel. 100.0, hkl 0 1 2
- 2θ = 30.42°, rel. 83.9, hkl 1 0 4
- 2θ = 50.12°, rel. 39.4, hkl 1 1 6
- 2θ = 36.50°, rel. 35.6, hkl 1 1 0
- 2θ = 43.91°, rel. 26.9, hkl 2 0 2
- 2θ = 58.37°, rel. 22.1, hkl 1 2 2

Lattice parameters (Å, degrees): 4.9240 4.9240 16.2171 90.00 90.00 120.00
Space group R-3c (No. 167, hexagonal axes)
Symmetry-distinct sites (fractional):
Lu 0.0000 0.0000 0.0000 x6
B 0.0000 0.0000 0.2500 x6
O 0.0000 0.2819 0.2500 x18



Record 6
Theoretical XRD peak list
Compound: DyP
Radiation: Cu Ka
Structure: a GGA-PBE-relaxed structure

Peak list (6 most intense, 10 to 90 degrees two-theta, in order of falling intensity)
- 2θ = 31.57°, rel. 100.0, hkl 2 0 0
- 2θ = 27.25°, rel. 87.3, hkl 1 1 1
- 2θ = 45.25°, rel. 73.1, hkl 2 2 0
- 2θ = 53.62°, rel. 42.5, hkl 3 1 1
- 2θ = 74.92°, rel. 32.9, hkl 4 2 0
- 2θ = 56.21°, rel. 25.5, hkl 2 2 2

Lattice parameters (Å, degrees): 5.6686 5.6686 5.6686 90.00 90.00 90.00
Space group Fm-3m (No. 225)
Symmetry-distinct sites (fractional):
Dy 0.0000 0.0000 0.0000 x4
P 0.0000 0.0000 0.5000 x4



Record 7
Theoretical XRD peak list
Compound: CoPd2Se2
Radiation: Cu Ka
Structure: a GGA-PBE-relaxed structure

Peak list (6 most intense, 10 to 90 degrees two-theta, in order of falling intensity)
- 2θ = 35.63°, rel. 100.0, hkl 0 0 2
- 2θ = 49.82°, rel. 50.0, hkl 0 4 2
- 2θ = 43.22°, rel. 42.9, hkl 2 3 1
- 2θ = 33.68°, rel. 37.9, hkl 0 4 0
- 2θ = 51.80°, rel. 37.0, hkl 3 2 1
- 2θ = 39.64°, rel. 29.2, hkl 1 1 2

Lattice parameters (Å, degrees): 6.0442 10.6448 5.0426 90.00 90.00 90.00
Space group Ibam (No. 72)
Symmetry-distinct sites (fractional):
Co 0.0000 0.0000 0.2500 x4
Pd 0.1242 0.3872 0.0000 x8
Se 0.2099 0.1413 0.0000 x8